Structure and simulated X-ray powder pattern of PmCd6Ag2 (a cell relaxed with GGA-PBE; Cu Ka).

Principal peaks in the range 2θ = 15–90°, in order of rising 2θ:
two_theta, I/Imax, (hkl)
28.0, 16, 4 2 0
31.1, 20, 1 3 1
33.6, 15, 4 2 1
35.0, 100, 5 1 1
37.0, 52, 0 0 2
37.7, 63, 0 4 1
37.8, 28, 5 3 0
42.3, 25, 5 3 1
53.9, 19, 5 3 2
65.4, 16, 5 1 3

Structural model:
```
data_PmCd6Ag2
_cell_length_a 15.676
_cell_length_b 10.974
_cell_length_c 4.857
_cell_angle_alpha 90.00
_cell_angle_beta 90.00
_cell_angle_gamma 90.00
_symmetry_space_group_name_H-M 'C m c m'
_symmetry_Int_Tables_number 63
_symmetry_space_group_name_Hall '-C 2c 2'
loop_
_atom_site_label
_atom_site_type_symbol
_atom_site_fract_x
_atom_site_fract_y
_atom_site_fract_z
_atom_site_occupancy
Pm1 Pm 0.000 0.202 0.250 1
Cd1 Cd 0.092 0.358 0.750 1
Cd2 Cd 0.111 0.076 0.750 1
Cd3 Cd 0.215 0.164 0.250 1
Ag1 Ag 0.185 0.421 0.250 1
```